Diffraction record for Ce2PmAs2Rh7. The X-ray powder pattern is simulated, not measured: it uses a DFT-relaxed cell (GGA-PBE, Alexandria) and Cu Kα.
Kinematic intensities with the Lorentz-polarization factor, no thermal factor.

Crystal structure
```
data_Ce2PmAs2Rh7
_symmetry_space_group_name_H-M 'C 1 2/m 1'
_symmetry_Int_Tables_number 12
_symmetry_space_group_name_Hall '-C 2y'
_cell_length_a 5.827
_cell_length_b 5.805
_cell_length_c 13.257
_cell_angle_alpha 90.00
_cell_angle_beta 102.07
_cell_angle_gamma 90.00
loop_
_atom_site_label
_atom_site_fract_x
_atom_site_fract_y
_atom_site_fract_z
Ce1 0.160 0.000 0.346
Pm1 0.000 0.000 0.000
As1 0.126 0.500 0.267
Rh1 0.000 0.500 0.000
Rh2 0.171 0.250 0.834
Rh3 0.212 0.500 0.461
```

Most intense lines, 2θ from 15° to 90°, sorted by position:
- 31.57°, d 2.834, I = 22, (2 0 -2)
- 33.85°, d 2.648, I = 28, (2 0 -3)
- 37.03°, d 2.428, I = 30, (2 0 2)
- 37.35°, d 2.408, I = 78, (0 2 3)
- 41.79°, d 2.161, I = 33, (0 0 6)
- 44.06°, d 2.055, I = 100, (2 2 -1)